For Zn2Ge3O8, a cell relaxed with GGA-PBE gives the simulated powder XRD pattern in this record (λ = 1.5418 Å (Cu Kα)).

Top 10 peaks for 15 to 90 degrees two-theta, in order of rising 2θ:
| d (Å) | I (rel.) | (hkl) |
| --- | --- | --- |
| 5.824 | 14 | 1 1 0 |
| 3.683 | 23 | 2 1 0 |
| 3.362 | 13 | 2 1 1 |
| 2.912 | 37 | 2 2 0 |
| 2.483 | 100 | 3 1 1 |
| 2.059 | 12 | 4 0 0 |
| 1.681 | 13 | 4 2 2 |
| 1.585 | 37 | 5 1 1 |
| 1.456 | 42 | 4 4 0 |
| 1.256 | 11 | 5 3 3 |

Crystal structure
```
data_Zn2Ge3O8
_cell_length_a 8.2357
_cell_length_b 8.2357
_cell_length_c 8.2357
_cell_angle_alpha 90.00
_cell_angle_beta 90.00
_cell_angle_gamma 90.00
_symmetry_space_group_name_H-M 'P 1'
_symmetry_Int_Tables_number 1
_symmetry_space_group_name_Hall 'P 1'
loop_
_atom_site_label
_atom_site_type_symbol
_atom_site_fract_x
_atom_site_fract_y
_atom_site_fract_z
_atom_site_occupancy
Zn1 Zn 0.0012 0.0012 0.0012 1
Zn2 Zn 0.2488 0.2488 0.2488 1
Zn3 Zn 0.2512 0.7512 0.7488 1
Zn4 Zn 0.4988 0.9988 0.5012 1
Zn5 Zn 0.5012 0.4988 0.9988 1
Zn6 Zn 0.7488 0.2512 0.7512 1
Zn7 Zn 0.7512 0.7488 0.2512 1
Zn8 Zn 0.9988 0.5012 0.4988 1
Ge1 Ge 0.1191 0.6250 0.1309 1
Ge2 Ge 0.1250 0.3691 0.8809 1
Ge3 Ge 0.1309 0.1191 0.6250 1
Ge4 Ge 0.3691 0.8809 0.1250 1
Ge5 Ge 0.3750 0.6309 0.3809 1
Ge6 Ge 0.3809 0.3750 0.6309 1
Ge7 Ge 0.6191 0.8750 0.8691 1
Ge8 Ge 0.6250 0.1309 0.1191 1
Ge9 Ge 0.6309 0.3809 0.3750 1
Ge10 Ge 0.8691 0.6191 0.8750 1
Ge11 Ge 0.8750 0.8691 0.6191 1
Ge12 Ge 0.8809 0.1250 0.3691 1
O1 O 0.1019 0.1362 0.3948 1
O2 O 0.1052 0.8981 0.6362 1
O3 O 0.1114 0.6114 0.8886 1
O4 O 0.1138 0.1481 0.8552 1
O5 O 0.1362 0.3948 0.1019 1
O6 O 0.1386 0.3614 0.6386 1
O7 O 0.1448 0.6138 0.3519 1
O8 O 0.1481 0.8552 0.1138 1
O9 O 0.3519 0.1448 0.6138 1
O10 O 0.3552 0.3862 0.8519 1
O11 O 0.3614 0.6386 0.1386 1
O12 O 0.3638 0.6052 0.6019 1
O13 O 0.3862 0.8519 0.3552 1
O14 O 0.3886 0.3886 0.3886 1
O15 O 0.3948 0.1019 0.1362 1
O16 O 0.3981 0.8638 0.8948 1
O17 O 0.6019 0.3638 0.6052 1
O18 O 0.6052 0.6019 0.3638 1
O19 O 0.6114 0.8886 0.1114 1
O20 O 0.6138 0.3519 0.1448 1
O21 O 0.6362 0.1052 0.8981 1
O22 O 0.6386 0.1386 0.3614 1
O23 O 0.6448 0.8862 0.6481 1
O24 O 0.6481 0.6448 0.8862 1
O25 O 0.8519 0.3552 0.3862 1
O26 O 0.8552 0.1138 0.1481 1
O27 O 0.8614 0.8614 0.8614 1
O28 O 0.8638 0.8948 0.3981 1
O29 O 0.8862 0.6481 0.6448 1
O30 O 0.8886 0.1114 0.6114 1
O31 O 0.8948 0.3981 0.8638 1
O32 O 0.8981 0.6362 0.1052 1
```